[1]
Structure and calculated PXRD pattern of AcPu2O7 (a DFT-relaxed cell (PBE, Alexandria); Cu Kα (λ = 1.5418 Å)).

Cell and atoms:
Lattice parameters (Å, degrees): 6.292 6.292 4.102 90.00 90.00 113.83
Fractional positions:
Ac 0.000 0.000 0.000
Pu 0.304 0.696 0.500
Pu 0.696 0.304 0.500
O 0.052 0.316 0.500
O 0.280 0.720 0.000
O 0.316 0.052 0.500
O 0.500 0.500 0.500
O 0.684 0.948 0.500
O 0.720 0.280 0.000
O 0.948 0.684 0.500

Largest 10 diffraction maxima, by angle, 2θ from 15° to 90°:
2θ (°)  d/Å  I (rel.)
25.94  3.435  85.4
26.69  3.340  89.7
27.55  3.237  89.2
28.53  3.129  100.0
38.20  2.356  75.1
44.16  2.051  27.9
46.22  1.964  27.9
47.39  1.918  31.9
50.44  1.809  57.4
53.40  1.716  50.7

***

[2]
Structure and calculated PXRD pattern of Co4Pb (a DFT-relaxed cell (PBE, Alexandria); Cu Kα (λ = 1.5418 Å)).

Cell and atoms:
Lattice parameters (Å, degrees): 5.868 5.868 5.868 142.86 142.86 53.54
Fractional positions:
Co 0.114 0.114 0.000
Co 0.250 0.750 0.500
Co 0.750 0.250 0.500
Co 0.886 0.886 0.000
Pb 0.500 0.500 0.000

Largest 10 diffraction maxima, by angle, 2θ from 15° to 90°:
2θ (°)  d/Å  I (rel.)
25.30  3.520  27.9
33.92  2.643  24.0
35.17  2.552  77.5
38.14  2.359  100.0
48.73  1.869  41.7
49.89  1.828  38.6
61.51  1.508  30.6
63.89  1.457  14.3
72.31  1.307  25.2
83.93  1.153  20.2

***

[3]
Structure and calculated PXRD pattern of Sm5AgRh2 (a DFT-relaxed cell (PBE, Alexandria); Cu Kα (λ = 1.5418 Å)).

Cell and atoms:
Lattice parameters (Å, degrees): 8.783 8.783 8.783 126.70 126.70 78.75
Fractional positions:
Sm 0.000 0.000 0.000
Sm 0.025 0.525 0.823
Sm 0.203 0.025 0.500
Sm 0.297 0.797 0.823
Sm 0.475 0.297 0.500
Sm 0.500 0.500 0.000
Sm 0.525 0.703 0.500
Sm 0.703 0.203 0.177
Sm 0.797 0.975 0.500
Sm 0.975 0.475 0.177
Ag 0.250 0.250 0.000
Ag 0.750 0.750 0.000
Rh 0.138 0.362 0.500
Rh 0.362 0.862 0.224
Rh 0.638 0.138 0.776
Rh 0.862 0.638 0.500

Largest 10 diffraction maxima, by angle, 2θ from 15° to 90°:
2θ (°)  d/Å  I (rel.)
30.84  2.899  18.9
32.19  2.781  100.0
34.89  2.572  28.3
36.05  2.492  53.8
42.00  2.151  17.9
51.92  1.761  19.9
54.00  1.698  13.8
56.48  1.629  13.9
66.67  1.403  15.1
67.24  1.392  17.6

***

[4]
Structure and calculated PXRD pattern of Cs2BaTa6Br15O3 (a DFT-relaxed cell (PBE, Alexandria); Cu Kα (λ = 1.5418 Å)).

Cell and atoms:
Lattice parameters (Å, degrees): 9.956 9.956 18.903 90.11 90.11 120.18
Fractional positions:
Cs 0.159 0.831 0.534
Cs 0.169 0.841 0.966
Cs 0.831 0.159 0.034
Cs 0.841 0.169 0.466
Ba 0.167 0.833 0.250
Ba 0.833 0.167 0.750
Ta 0.311 0.485 0.816
Ta 0.325 0.337 0.690
Ta 0.332 0.516 0.312
Ta 0.337 0.325 0.190
Ta 0.484 0.668 0.188
Ta 0.485 0.311 0.316
Ta 0.515 0.689 0.684
Ta 0.516 0.332 0.812
Ta 0.663 0.675 0.810
Ta 0.668 0.484 0.688
Ta 0.675 0.663 0.310
Ta 0.689 0.515 0.184
Br 0.054 0.444 0.886
Br 0.061 0.114 0.619
Br 0.087 0.291 0.251
Br 0.113 0.559 0.384
Br 0.114 0.061 0.119
Br 0.283 0.483 0.093
Br 0.284 0.298 0.409
Br 0.291 0.087 0.751
Br 0.292 0.708 0.750
Br 0.296 0.512 0.593
Br 0.298 0.284 0.909
Br 0.441 0.887 0.116
Br 0.444 0.054 0.386
Br 0.483 0.283 0.593
Br 0.488 0.704 0.907
Br 0.512 0.296 0.093
Br 0.517 0.717 0.407
Br 0.556 0.946 0.614
Br 0.559 0.113 0.884
Br 0.702 0.716 0.091
Br 0.704 0.488 0.407
Br 0.708 0.292 0.250
Br 0.709 0.913 0.249
Br 0.716 0.702 0.591
Br 0.717 0.517 0.907
Br 0.886 0.939 0.881
Br 0.887 0.441 0.616
Br 0.913 0.709 0.749
Br 0.939 0.886 0.381
Br 0.946 0.556 0.114
O 0.162 0.335 0.751
O 0.328 0.672 0.250
O 0.335 0.162 0.251
O 0.665 0.838 0.749
O 0.672 0.328 0.750
O 0.838 0.665 0.249

Largest 10 diffraction maxima, by angle, 2θ from 15° to 90°:
2θ (°)  d/Å  I (rel.)
20.18  4.401  23.0
25.97  3.431  35.0
27.40  3.256  50.8
28.04  3.183  22.2
30.88  2.895  30.2
33.39  2.683  100.0
33.52  2.673  22.5
39.52  2.280  22.7
39.77  2.267  34.9
40.96  2.203  39.3

***

[5]
Structure and calculated PXRD pattern of BaCu2S3 (a DFT-relaxed cell (PBE, Alexandria); Cu Kα (λ = 1.5418 Å)).

Cell and atoms:
Lattice parameters (Å, degrees): 4.430 12.443 4.562 90.00 90.00 90.00
Fractional positions:
Ba 0.250 0.250 0.219
Ba 0.750 0.750 0.781
Cu 0.250 0.561 0.255
Cu 0.250 0.939 0.255
Cu 0.750 0.061 0.745
Cu 0.750 0.439 0.745
S 0.250 0.505 0.756
S 0.250 0.750 0.278
S 0.250 0.995 0.756
S 0.750 0.005 0.244
S 0.750 0.250 0.722
S 0.750 0.495 0.244

Largest 10 diffraction maxima, by angle, 2θ from 15° to 90°:
2θ (°)  d/Å  I (rel.)
28.08  3.178  100.0
28.70  3.111  49.7
29.09  3.069  81.6
29.50  3.028  85.9
31.61  2.830  44.4
39.51  2.281  45.9
40.74  2.215  44.7
50.07  1.822  36.1
50.84  1.796  32.7
52.70  1.737  59.9

***

[6]
Structure and calculated PXRD pattern of FeSCl3 (a DFT-relaxed cell (PBE, Alexandria); Cu Kα (λ = 1.5418 Å)).

Cell and atoms:
Lattice parameters (Å, degrees): 9.809 9.809 7.387 95.72 95.72 30.71
Fractional positions:
Fe 0.182 0.182 0.061
Fe 0.818 0.818 0.939
S 0.453 0.453 0.533
S 0.547 0.547 0.467
Cl 0.088 0.088 0.869
Cl 0.170 0.170 0.349
Cl 0.295 0.295 0.960
Cl 0.705 0.705 0.040
Cl 0.830 0.830 0.651
Cl 0.912 0.912 0.131

Largest 10 diffraction maxima, by angle, 2θ from 15° to 90°:
2θ (°)  d/Å  I (rel.)
16.05  5.521  100.0
21.20  4.192  62.7
21.35  4.162  36.8
22.22  4.001  77.4
24.23  3.674  31.3
30.81  2.902  21.6
34.53  2.597  56.8
38.28  2.351  38.7
38.94  2.313  20.7
56.64  1.625  21.3